For LiCuPO4, a structure optimized by DFT (PBE) gives the theoretical X-ray diffraction stick pattern in this record (Cu Kα (λ = 1.5418 Å)).
Intensities are scaled so that the largest is 100.

Crystal structure
Unit cell a=5.5646 b=10.9336 c=9.7284 alpha=90.00 beta=90.00 gamma=90.00
Space group Fdd2 (No. 43)
One atom of each set of equivalent atoms:
Li1 0.0000 0.0000 0.0000 [8 per cell]
Cu1 0.0000 0.0000 0.6522 [8 per cell]
P1 0.0000 0.0000 0.3003 [8 per cell]
O1 0.0787 0.3236 0.4538 [16 per cell]
O2 0.1029 0.1672 0.6489 [16 per cell]

Top 12 peaks for 2θ = 10–90°, most intense first:
h k l  2theta  I_rel
1 1 3  33.00  100.0
0 2 2  24.50  71.8
1 1 1  20.10  65.7
2 2 0  36.23  42.1
1 5 3  53.13  31.0
1 3 1  30.73  26.3
2 4 2  50.41  25.7
0 4 0  32.76  21.9
0 0 4  36.96  17.2
2 6 0  60.76  17.0
3 1 3  57.89  15.6
2 2 2  40.85  15.1